No. 1
# KGdCO3F2
Calculated X-ray diffraction stick pattern, Cu Kα. Input: DFT lattice parameters and positions (PBE).
Peak positions follow from Bragg's law for the DFT cell and can differ from measured ones.

Atomic structure:
abc: 6.9263 10.9419 21.7244
angles: 90.00 90.00 90.00
Space group Fddd (No. 70, origin choice 2)
Inequivalent atoms, fractional coordinates:
K  0.1250  0.1250  0.0415 x16
Gd  0.1250  0.3083  0.6250 x16
C  0.1250  0.1250  0.5031 x16
O  0.0378  0.3750  0.0256 x32
O  0.1250  0.1250  0.5634 x16
F  0.0608  0.0179  0.8910 x32

Principal peaks in the range 10 to 80 degrees two-theta, by angle:
| (hkl) | Position (°2θ) | I/Imax |
| --- | --- | --- |
| 1 1 1 | 15.7 | 332 |
| 0 0 4 | 16.3 | 1000 |
| 0 2 2 | 18.2 | 747 |
| 2 0 2 | 27.0 | 990 |
| 1 3 1 | 28.0 | 573 |
| 0 2 6 | 29.6 | 537 |
| 1 3 3 | 30.3 | 652 |
| 1 1 7 | 32.7 | 332 |
| 0 0 8 | 33.0 | 296 |
| 2 2 4 | 34.8 | 502 |
| 3 3 1 | 46.8 | 351 |
| 1 5 5 | 48.4 | 388 |

No. 2
# Sm2DyCu4Sn4
Calculated X-ray diffraction stick pattern, Cu Kα. Input: DFT lattice parameters and positions (PBE).
Peak positions follow from Bragg's law for the DFT cell and can differ from measured ones.

Atomic structure:
abc: 4.5301 6.9263 14.8870
angles: 90.00 90.00 90.00
Space group Immm (No. 71)
Inequivalent atoms, fractional coordinates:
Sm  0.0000  0.0000  0.1318 x4
Dy  0.0000  0.5000  0.0000 x2
Cu  0.0000  0.1858  0.3309 x8
Sn  0.0000  0.2954  0.5000 x4
Sn  0.0000  0.5000  0.2154 x4

Principal peaks in the range 10 to 80 degrees two-theta, by angle:
| (hkl) | Position (°2θ) | I/Imax |
| --- | --- | --- |
| 0 1 5 | 32.7 | 285 |
| 1 2 1 | 33.1 | 1000 |
| 1 1 4 | 33.7 | 993 |
| 0 0 6 | 36.2 | 185 |
| 2 0 0 | 39.8 | 447 |
| 0 3 3 | 43.2 | 225 |
| 1 2 5 | 44.9 | 259 |
| 2 1 5 | 52.4 | 151 |
| 2 3 3 | 60.2 | 206 |
| 3 2 1 | 68.0 | 189 |
| 3 1 4 | 68.4 | 130 |
| 1 5 4 | 76.3 | 168 |

No. 3
# Li3HPtO4
Calculated X-ray diffraction stick pattern, Cu Kα. Input: DFT lattice parameters and positions (PBE).
Peak positions follow from Bragg's law for the DFT cell and can differ from measured ones.

Atomic structure:
abc: 5.4365 6.4171 6.2673
angles: 90.00 112.23 90.00
Space group P2_1/m (No. 11)
Inequivalent atoms, fractional coordinates:
Li  0.0219  0.2500  0.2005 x2
Li  0.4016  0.5125  0.6691 x4
H  0.4629  0.7500  0.9580 x2
Pt  0.0485  0.7500  0.2714 x2
O  0.2326  0.5029  0.3182 x4
O  0.3025  0.2500  0.7690 x2
O  0.3209  0.7500  0.8021 x2

Principal peaks in the range 10 to 80 degrees two-theta, by angle:
| (hkl) | Position (°2θ) | I/Imax |
| --- | --- | --- |
| 1 0 0 | 17.6 | 587 |
| 0 1 1 | 20.6 | 1000 |
| 1 1 -1 | 23.1 | 754 |
| 0 2 0 | 27.8 | 252 |
| 1 0 -2 | 29.1 | 301 |
| 0 0 2 | 30.9 | 661 |
| 1 2 0 | 33.1 | 374 |
| 2 1 -1 | 35.9 | 199 |
| 1 2 -2 | 40.7 | 171 |
| 0 2 2 | 42.0 | 172 |
| 0 3 1 | 45.2 | 134 |
| 1 1 -3 | 45.7 | 124 |

No. 4
# BPd3Pb
Calculated X-ray diffraction stick pattern, Cu Kα. Input: DFT lattice parameters and positions (PBE).
Peak positions follow from Bragg's law for the DFT cell and can differ from measured ones.

Atomic structure:
abc: 6.0094 6.0094 4.4151
angles: 90.00 90.00 90.00
Space group P4/mbm (No. 127)
Inequivalent atoms, fractional coordinates:
B  0.0000  0.0000  0.0000 x2
Pd  0.0000  0.0000  0.5000 x2
Pd  0.2065  0.2935  0.0000 x4
Pb  0.0000  0.5000  0.5000 x2

Principal peaks in the range 10 to 80 degrees two-theta, by angle:
| (hkl) | Position (°2θ) | I/Imax |
| --- | --- | --- |
| 1 1 0 | 20.9 | 79 |
| 2 0 0 | 29.7 | 64 |
| 2 0 1 | 36.2 | 1000 |
| 2 1 1 | 39.2 | 77 |
| 0 0 2 | 40.9 | 213 |
| 2 2 0 | 42.6 | 303 |
| 3 1 1 | 52.4 | 64 |
| 2 2 2 | 60.5 | 213 |
| 4 0 0 | 61.7 | 77 |
| 2 0 3 | 71.4 | 138 |
| 4 2 1 | 73.7 | 162 |
| 4 0 2 | 76.7 | 83 |

No. 5
# CsInPdSe3
Calculated X-ray diffraction stick pattern, Cu Kα. Input: DFT lattice parameters and positions (PBE).
Peak positions follow from Bragg's law for the DFT cell and can differ from measured ones.

Atomic structure:
abc: 15.4891 4.3538 11.4634
angles: 90.00 90.00 90.00
Space group Pnma (No. 62)
Inequivalent atoms, fractional coordinates:
Cs  0.2268  0.2500  0.0284 x4
In  0.0256  0.2500  0.3658 x4
Pd  0.0229  0.7500  0.0775 x4
Se  0.0417  0.7500  0.8616 x4
Se  0.0923  0.2500  0.5793 x4
Se  0.1133  0.7500  0.2562 x4

Principal peaks in the range 10 to 80 degrees two-theta, by angle:
| (hkl) | Position (°2θ) | I/Imax |
| --- | --- | --- |
| 2 0 0 | 11.4 | 965 |
| 4 0 2 | 27.8 | 192 |
| 3 1 1 | 27.9 | 1000 |
| 2 1 2 | 28.2 | 215 |
| 3 1 2 | 31.1 | 248 |
| 1 0 4 | 31.7 | 246 |
| 4 1 1 | 31.9 | 260 |
| 2 0 4 | 33.3 | 394 |
| 0 2 0 | 41.5 | 363 |
| 5 1 3 | 43.0 | 221 |
| 2 1 5 | 46.3 | 360 |
| 2 2 4 | 54.2 | 279 |

No. 6
# Lu4Zr2Cu3C3
Calculated X-ray diffraction stick pattern, Cu Kα. Input: DFT lattice parameters and positions (PBE).
Peak positions follow from Bragg's law for the DFT cell and can differ from measured ones.

Atomic structure:
abc: 10.1526 5.8679 14.7453
angles: 90.00 102.69 90.00
Space group C2/c (No. 15)
Inequivalent atoms, fractional coordinates:
Lu  0.1130  0.0769  0.0921 x8
Lu  0.2168  0.0868  0.4078 x8
Zr  0.0578  0.4137  0.9103 x8
Cu  0.0000  0.0676  0.2500 x4
Cu  0.2408  0.3414  0.2501 x8
C  0.0765  0.2703  0.5000 x8
C  0.2500  0.2500  0.0000 x4

Principal peaks in the range 10 to 80 degrees two-theta, by angle:
| (hkl) | Position (°2θ) | I/Imax |
| --- | --- | --- |
| 0 0 2 | 12.3 | 337 |
| 1 1 0 | 17.6 | 326 |
| 2 0 0 | 17.9 | 226 |
| 0 0 4 | 24.8 | 219 |
| 0 2 0 | 30.5 | 523 |
| 0 2 1 | 31.1 | 475 |
| 3 1 -2 | 31.2 | 245 |
| 3 1 2 | 35.8 | 1000 |
| 0 2 3 | 35.9 | 975 |
| 3 1 -4 | 36.1 | 976 |
| 0 0 6 | 37.5 | 655 |
| 6 0 -2 | 54.2 | 468 |